Starting from a structure optimized by DFT (GGA-PBE), the powder diffraction line list of MoPd2Rh was simulated for Cu Kα (λ = 1.5418 Å).
Kinematic intensities with the Lorentz-polarization factor, no thermal factor.

Largest 7 diffraction maxima, by angle, 2θ = 10–90°:
two_theta, I/Imax, index
29.49, 1, 0 0 9
39.70, 100, 1 0 4
46.17, 48, 0 1 8
58.36, 1, 1 0 13
67.36, 30, 1 1 0
81.12, 35, 0 2 4
85.56, 10, 2 0 8

```
data_MoPd2Rh
_chemical_formula_sum 'Mo3 Pd6 Rh3'
_cell_length_a 2.7794
_cell_length_b 2.7794
_cell_length_c 27.2611
_cell_angle_alpha 90.00
_cell_angle_beta 90.00
_cell_angle_gamma 120.00
_symmetry_space_group_name_H-M 'R 3 m'
_symmetry_Int_Tables_number 160
_symmetry_space_group_name_Hall 'R 3 -2"'
loop_
_atom_site_label
_atom_site_fract_x
_atom_site_fract_y
_atom_site_fract_z
_atom_site_occupancy
Mo1 0.0000 0.0000 0.0000 1
Pd1 0.0000 0.0000 0.5025 1
Pd2 0.0000 0.0000 0.7498 1
Rh1 0.0000 0.0000 0.2549 1
```